Starting from a cell relaxed with PBE, the XRD peak list of NaMg6Zn was simulated for Cu Kα (λ = 1.5418 Å).
Peak positions follow from Bragg's law for the DFT cell and can differ from measured ones.

Crystal structure
```
8
Lattice="5.182 0.000 0.000 0.000 3.173 5.528 0.000 -3.173 5.528" Properties=species:S:1:pos:R:3 pbc="T T T"
Na 0.000 0.000 0.000
Mg 0.000 -1.579 2.762
Mg 0.000 1.579 2.762
Mg 2.591 0.000 1.854
Mg 2.591 -1.556 4.613
Mg 2.591 1.556 4.613
Mg 2.591 0.000 7.349
Zn 0.000 0.000 5.517
```

Principal peaks in the range 2θ from 10° to 80°, sorted by position:
Position (°2θ)  d [Å]  I/Imax
16.08  5.511  27
23.57  3.775  20
32.54  2.752  25
34.62  2.591  40
36.86  2.439  50
36.99  2.430  100
63.60  1.463  20
69.22  1.357  19

***

Starting from a cell relaxed with PBE, the XRD peak list of Mg5Si9 was simulated for Cu Kα (λ = 1.5418 Å).
Peak positions follow from Bragg's law for the DFT cell and can differ from measured ones.

Crystal structure
```
28
Lattice="5.417 0.000 0.000 2.549 7.009 0.000 2.392 1.553 12.757" Properties=species:S:1:pos:R:3 pbc="T T T"
Mg 0.000 0.000 0.000
Mg 2.685 5.223 4.827
Mg 2.786 1.122 7.814
Mg 3.779 4.792 1.971
Mg 5.123 3.213 11.521
Mg 5.425 5.614 6.385
Mg 6.421 5.244 9.237
Mg 5.509 2.183 8.517
Mg 5.601 3.449 4.021
Mg 9.146 6.789 10.262
Si 1.214 1.151 5.368
Si 1.539 3.156 1.202
Si 3.710 4.415 8.761
Si 2.942 2.431 3.476
Si 3.919 3.351 6.527
Si 5.734 5.896 12.066
Si 2.423 0.767 1.534
Si 6.445 7.894 10.396
Si 5.119 6.506 3.883
Si 4.145 1.008 5.334
Si 7.775 7.431 12.636
Si 4.656 2.168 1.605
Si 6.502 5.536 2.094
Si 7.901 4.762 11.928
Si 6.904 3.363 6.508
Si 8.248 6.532 7.316
Si 8.237 7.251 2.830
Si 7.775 2.832 10.226
```

Principal peaks in the range 2θ from 10° to 80°, sorted by position:
Position (°2θ)  d [Å]  I/Imax
35.81  2.507  50
36.46  2.464  28
37.13  2.421  30
38.22  2.355  53
38.95  2.312  100
39.05  2.307  87
39.39  2.287  28
39.87  2.261  32

***

Starting from a cell relaxed with PBE, the XRD peak list of ThNb4O12 was simulated for Cu Kα (λ = 1.5418 Å).
Peak positions follow from Bragg's law for the DFT cell and can differ from measured ones.

Crystal structure
```
17
Lattice="-2.806 2.806 7.969 2.806 -2.806 7.969 2.806 2.806 -7.969" Properties=species:S:1:pos:R:3 pbc="T T T"
Th 0.000 0.000 0.000
Nb 2.806 0.000 2.039
Nb 2.806 0.000 5.930
Nb 0.000 2.806 2.039
Nb 0.000 2.806 5.930
O 2.806 0.000 0.000
O 1.319 1.319 -1.791
O 1.487 -1.487 6.178
O 2.806 0.000 3.985
O 1.319 1.319 1.791
O 1.487 -1.487 9.760
O 0.000 2.806 0.000
O -1.487 1.487 6.178
O 1.487 1.487 6.178
O 0.000 2.806 3.985
O -1.487 1.487 9.760
O 1.487 1.487 9.760
```

Principal peaks in the range 2θ from 10° to 80°, sorted by position:
Position (°2θ)  d [Å]  I/Imax
11.10  7.969  35
16.75  5.294  58
22.37  3.974  24
23.05  3.858  24
25.07  3.552  24
31.85  2.810  100
45.73  1.984  26
56.79  1.621  27

***

Starting from a cell relaxed with PBE, the XRD peak list of CrN2 was simulated for Cu Kα (λ = 1.5418 Å).
Peak positions follow from Bragg's law for the DFT cell and can differ from measured ones.

Crystal structure
```
12
Lattice="4.588 0.000 0.000 0.000 4.609 0.000 -0.813 0.000 8.244" Properties=species:S:1:pos:R:3 pbc="T T T"
Cr 0.171 0.000 2.568
Cr 0.860 2.749 6.753
Cr 2.915 2.749 1.491
Cr 3.604 0.000 5.676
N -0.407 4.116 4.122
N -0.223 1.546 5.950
N -0.229 3.908 7.174
N 1.681 3.793 2.347
N 2.294 2.111 0.000
N 2.094 3.793 5.896
N 4.005 3.908 1.070
N 3.998 1.546 2.294
```

Principal peaks in the range 2θ from 10° to 80°, sorted by position:
Position (°2θ)  d [Å]  I/Imax
19.26  4.609  42
21.30  4.172  43
21.56  4.122  100
22.10  4.023  58
27.50  3.244  85
27.70  3.221  47
28.87  3.093  56
30.31  2.949  50